Record 1
Starting from a DFT-relaxed cell (PBE, Alexandria), the PXRD pattern of TePdO4 was simulated for a wavelength of 1.5418 Å.
Peak positions follow from Bragg's law for the DFT cell and can differ from measured ones.

Main lines, sorted by position (15° ≤ 2θ ≤ 90°):
Position (°2θ)	I/Imax
25.83	100.0
33.49	57.4
33.61	18.4
36.86	22.3
50.58	32.8
64.19	22.1

Cell and atoms:
Unit cell a=5.814 b=4.882 c=5.841 alpha=90.00 beta=113.47 gamma=90.00
Fractional coordinates of all 12 atoms:
Te 0.000 0.000 0.000
Te 0.000 0.500 0.500
Pd 0.500 0.000 0.500
Pd 0.500 0.500 0.000
O 0.149 0.201 0.344
O 0.149 0.299 0.844
O 0.337 0.692 0.650
O 0.337 0.808 0.150
O 0.663 0.192 0.850
O 0.663 0.308 0.350
O 0.851 0.701 0.156
O 0.851 0.799 0.656

=====

Record 2
Starting from a DFT-relaxed cell (PBE, Alexandria), the PXRD pattern of UTe2PdO was simulated for a wavelength of 1.5418 Å.
Peak positions follow from Bragg's law for the DFT cell and can differ from measured ones.

Main lines, sorted by position (15° ≤ 2θ ≤ 90°):
Position (°2θ)	I/Imax
29.38	87.0
32.14	100.0
33.81	32.2
46.09	41.2
50.31	31.9
55.62	34.9

Cell and atoms:
Unit cell a=3.939 b=3.939 c=14.340 alpha=90.00 beta=90.00 gamma=90.00
Fractional coordinates of all 10 atoms:
U 0.250 0.250 0.086
U 0.750 0.750 0.914
Te 0.250 0.250 0.418
Te 0.250 0.250 0.795
Te 0.750 0.750 0.205
Te 0.750 0.750 0.582
Pd 0.250 0.250 0.605
Pd 0.750 0.750 0.395
O 0.250 0.750 0.000
O 0.750 0.250 0.000

=====

Record 3
Starting from a DFT-relaxed cell (PBE, Alexandria), the PXRD pattern of TiPdO was simulated for a wavelength of 1.5418 Å.
Peak positions follow from Bragg's law for the DFT cell and can differ from measured ones.

Main lines, sorted by position (15° ≤ 2θ ≤ 90°):
Position (°2θ)	I/Imax
35.35	100.0
39.18	68.1
42.25	99.1
44.49	35.5
45.44	47.1
48.98	27.0

Cell and atoms:
Unit cell a=6.172 b=6.172 c=6.172 alpha=95.49 beta=95.49 gamma=95.49
Fractional coordinates of all 18 atoms:
Ti 0.129 0.852 0.350
Ti 0.148 0.650 0.871
Ti 0.350 0.129 0.852
Ti 0.650 0.871 0.148
Ti 0.852 0.350 0.129
Ti 0.871 0.148 0.650
Pd 0.191 0.429 0.510
Pd 0.429 0.510 0.191
Pd 0.490 0.809 0.571
Pd 0.510 0.191 0.429
Pd 0.571 0.490 0.809
Pd 0.809 0.571 0.490
O 0.072 0.312 0.922
O 0.078 0.928 0.688
O 0.312 0.922 0.072
O 0.688 0.078 0.928
O 0.922 0.072 0.312
O 0.928 0.688 0.078